1.
Calculated powder XRD pattern
Compound: Ba2In3Sn4
Radiation: Cu Kα, 1.54184 Å
Structure: a PBE-relaxed structure
No peak broadening, texture or thermal motion is included.

Atomic structure:
Lattice parameters (Å, degrees): 6.859 17.698 9.247 90.00 90.00 90.00
Space group Cmce (No. 64)
Unique sites:
Ba 0.000 0.113 0.083 (multiplicity 8)
In 0.000 0.000 0.500 (multiplicity 4)
In 0.250 0.222 0.750 (multiplicity 8)
Sn 0.000 0.183 0.462 (multiplicity 8)
Sn 0.250 0.055 0.750 (multiplicity 8)

Top 10 peaks for 2θ from 10° to 90°, by angle:
index  2theta  Rel. int.
1 3 2  27.75  17
2 2 1  29.56  48
1 5 1  30.01  77
0 2 3  30.72  49
0 6 1  31.85  30
2 0 2  32.51  100
0 6 2  36.12  19
3 5 1  48.41  21
2 6 3  50.42  21
4 0 0  53.43  17

2.
Calculated powder XRD pattern
Compound: Ba2ZnIn3Sn4
Radiation: Cu Kα, 1.54184 Å
Structure: a PBE-relaxed structure
No peak broadening, texture or thermal motion is included.

Atomic structure:
Lattice parameters (Å, degrees): 5.289 5.289 11.119 90.00 90.00 90.00
Space group P-4m2 (No. 115)
Unique sites:
Ba 0.000 0.500 0.245 (multiplicity 2)
Zn 0.500 0.500 0.000 (multiplicity 1)
In 0.000 0.000 0.000 (multiplicity 1)
In 0.000 0.500 0.627 (multiplicity 2)
Sn 0.000 0.000 0.500 (multiplicity 1)
Sn 0.000 0.500 0.884 (multiplicity 2)
Sn 0.500 0.500 0.500 (multiplicity 1)

Top 10 peaks for 2θ from 10° to 90°, by angle:
index  2theta  Rel. int.
1 1 2  28.77  100
1 0 3  29.43  81
2 0 0  33.90  99
1 1 4  40.43  37
1 0 5  44.18  21
2 1 3  45.49  49
2 2 0  48.69  36
1 1 6  55.32  20
2 1 5  56.82  20
3 1 2  57.54  28